Record 1
For Pr3Mg7Pd2, a crystal structure in Alexandria, relaxed with PBE gives the theoretical powder diffractogram in this record (Cu Ka).
Lines closer than 0.1° are merged.

Peak list (10 most intense, 2θ from 15° to 90°, sorted by position)
| 2θ (°) | d/Å | I (rel.) |
| --- | --- | --- |
| 19.05 | 4.658 | 39 |
| 28.14 | 3.172 | 24 |
| 29.64 | 3.014 | 73 |
| 35.47 | 2.531 | 100 |
| 49.45 | 1.843 | 14 |
| 52.59 | 1.740 | 15 |
| 56.44 | 1.630 | 26 |
| 58.19 | 1.585 | 13 |
| 61.53 | 1.507 | 16 |
| 88.31 | 1.107 | 15 |

Structure:
abc: 9.945 9.945 9.945
angles: 35.29 35.29 35.29
Element x y z (fractional)
Pr (0.000, 0.000, 0.000)
Pr (0.148, 0.148, 0.148)
Pr (0.852, 0.852, 0.852)
Mg (0.074, 0.575, 0.575)
Mg (0.425, 0.425, 0.926)
Mg (0.425, 0.926, 0.425)
Mg (0.500, 0.500, 0.500)
Mg (0.575, 0.074, 0.575)
Mg (0.575, 0.575, 0.074)
Mg (0.926, 0.425, 0.425)
Pd (0.333, 0.333, 0.333)
Pd (0.667, 0.667, 0.667)

Record 2
For Mg2CuAu5, a crystal structure in Alexandria, relaxed with PBE gives the theoretical powder diffractogram in this record (Cu Ka).
Lines closer than 0.1° are merged.

Peak list (10 most intense, 2θ from 15° to 90°, sorted by position)
| 2θ (°) | d/Å | I (rel.) |
| --- | --- | --- |
| 22.07 | 4.028 | 18 |
| 30.64 | 2.918 | 18 |
| 38.08 | 2.363 | 100 |
| 38.94 | 2.313 | 7 |
| 42.73 | 2.116 | 21 |
| 45.01 | 2.014 | 28 |
| 63.80 | 1.459 | 20 |
| 75.15 | 1.264 | 14 |
| 78.40 | 1.220 | 16 |
| 81.45 | 1.182 | 8 |

Structure:
abc: 5.693 11.400 4.232
angles: 90.00 90.00 90.00
Element x y z (fractional)
Mg (0.216, 0.134, 0.000)
Mg (0.284, 0.634, 0.000)
Mg (0.716, 0.366, 0.000)
Mg (0.784, 0.866, 0.000)
Cu (0.000, 0.500, 0.500)
Cu (0.500, 0.000, 0.500)
Au (0.000, 0.000, 0.500)
Au (0.032, 0.743, 0.500)
Au (0.211, 0.391, 0.000)
Au (0.289, 0.891, 0.000)
Au (0.468, 0.243, 0.500)
Au (0.500, 0.500, 0.500)
Au (0.532, 0.757, 0.500)
Au (0.711, 0.109, 0.000)
Au (0.789, 0.609, 0.000)
Au (0.968, 0.257, 0.500)

Record 3
For CaSmGe2Pd5, a crystal structure in Alexandria, relaxed with PBE gives the theoretical powder diffractogram in this record (Cu Ka).
Lines closer than 0.1° are merged.

Peak list (10 most intense, 2θ from 15° to 90°, sorted by position)
| 2θ (°) | d/Å | I (rel.) |
| --- | --- | --- |
| 35.57 | 2.524 | 100 |
| 39.28 | 2.293 | 10 |
| 42.03 | 2.149 | 38 |
| 42.29 | 2.137 | 50 |
| 59.09 | 1.563 | 12 |
| 61.35 | 1.511 | 16 |
| 67.26 | 1.392 | 11 |
| 68.82 | 1.364 | 12 |
| 72.97 | 1.296 | 24 |
| 77.16 | 1.236 | 12 |

Structure:
abc: 4.274 4.274 9.174
angles: 90.00 90.00 90.00
Element x y z (fractional)
Ca (0.000, 0.000, 0.000)
Sm (0.000, 0.000, 0.500)
Ge (0.500, 0.500, 0.137)
Ge (0.500, 0.500, 0.863)
Pd (0.000, 0.500, 0.274)
Pd (0.000, 0.500, 0.726)
Pd (0.500, 0.000, 0.274)
Pd (0.500, 0.000, 0.726)
Pd (0.500, 0.500, 0.500)

Record 4
For SmY4Cd5, a crystal structure in Alexandria, relaxed with PBE gives the theoretical powder diffractogram in this record (Cu Ka).
Lines closer than 0.1° are merged.

Peak list (10 most intense, 2θ from 15° to 90°, sorted by position)
| 2θ (°) | d/Å | I (rel.) |
| --- | --- | --- |
| 30.40 | 2.940 | 1 |
| 33.67 | 2.662 | 100 |
| 48.18 | 1.889 | 6 |
| 48.45 | 1.879 | 12 |
| 60.10 | 1.539 | 12 |
| 60.28 | 1.535 | 24 |
| 70.73 | 1.332 | 7 |
| 70.94 | 1.328 | 4 |
| 80.44 | 1.194 | 5 |
| 80.88 | 1.189 | 10 |

Structure:
abc: 3.758 3.758 18.888
angles: 90.00 90.00 90.00
Element x y z (fractional)
Sm (0.000, 0.000, 0.000)
Y (0.000, 0.000, 0.202)
Y (0.000, 0.000, 0.401)
Y (0.000, 0.000, 0.599)
Y (0.000, 0.000, 0.798)
Cd (0.500, 0.500, 0.105)
Cd (0.500, 0.500, 0.302)
Cd (0.500, 0.500, 0.500)
Cd (0.500, 0.500, 0.698)
Cd (0.500, 0.500, 0.895)

Record 5
For TbHg5, a crystal structure in Alexandria, relaxed with PBE gives the theoretical powder diffractogram in this record (Cu Ka).
Lines closer than 0.1° are merged.

Peak list (10 most intense, 2θ from 15° to 90°, sorted by position)
| 2θ (°) | d/Å | I (rel.) |
| --- | --- | --- |
| 33.65 | 2.663 | 100 |
| 37.02 | 2.428 | 19 |
| 39.70 | 2.271 | 16 |
| 40.37 | 2.234 | 15 |
| 55.40 | 1.659 | 12 |
| 55.92 | 1.644 | 12 |
| 64.58 | 1.443 | 16 |
| 68.20 | 1.375 | 13 |
| 69.13 | 1.359 | 13 |
| 70.75 | 1.332 | 12 |

Structure:
abc: 4.468 13.623 4.857
angles: 90.00 90.00 90.00
Element x y z (fractional)
Tb (0.000, 0.000, 0.000)
Tb (0.500, 0.500, 0.000)
Hg (0.000, 0.163, 0.500)
Hg (0.000, 0.332, 0.000)
Hg (0.000, 0.500, 0.500)
Hg (0.000, 0.668, 0.000)
Hg (0.000, 0.837, 0.500)
Hg (0.500, 0.000, 0.500)
Hg (0.500, 0.168, 0.000)
Hg (0.500, 0.337, 0.500)
Hg (0.500, 0.663, 0.500)
Hg (0.500, 0.832, 0.000)

Record 6
For HfPaAs3, a crystal structure in Alexandria, relaxed with PBE gives the theoretical powder diffractogram in this record (Cu Ka).
Lines closer than 0.1° are merged.

Peak list (10 most intense, 2θ from 15° to 90°, sorted by position)
| 2θ (°) | d/Å | I (rel.) |
| --- | --- | --- |
| 22.34 | 3.979 | 82 |
| 25.70 | 3.466 | 41 |
| 33.39 | 2.684 | 77 |
| 33.60 | 2.667 | 87 |
| 36.34 | 2.472 | 66 |
| 36.77 | 2.444 | 90 |
| 37.52 | 2.397 | 42 |
| 40.42 | 2.232 | 45 |
| 42.98 | 2.104 | 100 |
| 57.83 | 1.595 | 42 |

Structure:
abc: 12.217 5.930 5.975
angles: 90.00 90.00 90.00
Element x y z (fractional)
Hf (0.083, 0.250, 0.000)
Hf (0.083, 0.250, 0.500)
Hf (0.917, 0.750, 0.000)
Hf (0.917, 0.750, 0.500)
Pa (0.325, 0.508, 0.250)
Pa (0.325, 0.992, 0.750)
Pa (0.675, 0.008, 0.250)
Pa (0.675, 0.492, 0.750)
As (0.091, 0.621, 0.250)
As (0.091, 0.879, 0.750)
As (0.252, 0.026, 0.250)
As (0.252, 0.474, 0.750)
As (0.499, 0.250, 0.000)
As (0.499, 0.250, 0.500)
As (0.501, 0.750, 0.000)
As (0.501, 0.750, 0.500)
As (0.748, 0.526, 0.250)
As (0.748, 0.974, 0.750)
As (0.909, 0.121, 0.250)
As (0.909, 0.379, 0.750)

Record 7
For Tb2PmEr, a crystal structure in Alexandria, relaxed with PBE gives the theoretical powder diffractogram in this record (Cu Ka).
Lines closer than 0.1° are merged.

Peak list (10 most intense, 2θ from 15° to 90°, sorted by position)
| 2θ (°) | d/Å | I (rel.) |
| --- | --- | --- |
| 30.69 | 2.914 | 100 |
| 35.53 | 2.527 | 34 |
| 35.68 | 2.516 | 17 |
| 51.12 | 1.787 | 12 |
| 51.24 | 1.783 | 24 |
| 60.81 | 1.523 | 29 |
| 61.02 | 1.518 | 14 |
| 63.90 | 1.457 | 12 |
| 83.56 | 1.157 | 12 |
| 86.08 | 1.130 | 11 |

Structure:
abc: 5.054 5.054 10.064
angles: 90.00 90.00 90.00
Element x y z (fractional)
Tb (0.000, 0.000, 0.000)
Tb (0.000, 0.500, 0.250)
Tb (0.500, 0.000, 0.750)
Tb (0.500, 0.500, 0.500)
Pm (0.000, 0.500, 0.750)
Pm (0.500, 0.000, 0.250)
Er (0.000, 0.000, 0.500)
Er (0.500, 0.500, 0.000)

Record 8
For CrPAu2, a crystal structure in Alexandria, relaxed with PBE gives the theoretical powder diffractogram in this record (Cu Ka).
Lines closer than 0.1° are merged.

Peak list (10 most intense, 2θ from 15° to 90°, sorted by position)
| 2θ (°) | d/Å | I (rel.) |
| --- | --- | --- |
| 29.95 | 2.984 | 67 |
| 36.85 | 2.439 | 82 |
| 38.71 | 2.326 | 84 |
| 41.16 | 2.193 | 100 |
| 42.13 | 2.145 | 27 |
| 46.73 | 1.944 | 23 |
| 54.50 | 1.684 | 37 |
| 65.90 | 1.417 | 32 |
| 67.60 | 1.386 | 28 |
| 76.13 | 1.250 | 23 |

Structure:
abc: 2.966 3.368 6.601
angles: 90.00 102.89 90.00
Element x y z (fractional)
Cr (0.000, 0.000, 0.000)
P (0.556, 0.500, 0.114)
Au (0.352, 0.500, 0.704)
Au (0.708, 0.000, 0.416)